# 1
This entry pairs a crystal structure of Co2SbO6 with its computed powder X-ray diffraction pattern. Radiation: Cu Kα, 1.54184 Å. Structure: the PBE+U geometry in Alexandria.

Most intense lines, 10° ≤ 2θ ≤ 90°, low angle first:
- 2θ = 17.6°, intensity 100
- 2θ = 22.0°, intensity 8
- 2θ = 35.2°, intensity 8
- 2θ = 35.7°, intensity 6
- 2θ = 36.3°, intensity 34
- 2θ = 39.6°, intensity 19
- 2θ = 44.6°, intensity 29
- 2θ = 51.0°, intensity 12
- 2θ = 58.4°, intensity 15
- 2θ = 64.0°, intensity 13
- 2θ = 69.8°, intensity 6
- 2θ = 75.9°, intensity 6

Atomic structure:
```
data_Co2SbO6
_chemical_formula_sum 'Co4 Sb2 O12'
_cell_length_a 5.1031
_cell_length_b 5.1031
_cell_length_c 10.0724
_cell_angle_alpha 90.00
_cell_angle_beta 90.00
_cell_angle_gamma 59.87
_space_group_name_H-M_alt 'P 1'
_space_group_IT_number 1
_space_group_name_Hall 'P 1'
loop_
_atom_site_label
_atom_site_type_symbol
_atom_site_fract_x
_atom_site_fract_y
_atom_site_fract_z
Co1 Co 0.1666 0.1666 0.0000
Co2 Co 0.3334 0.3334 0.5000
Co3 Co 0.6666 0.6666 0.5000
Co4 Co 0.8334 0.8334 0.0000
Sb1 Sb 0.0000 0.0000 0.5000
Sb2 Sb 0.5000 0.5000 0.0000
O1 O 0.0005 0.6498 0.5954
O2 O 0.1498 0.5005 0.0954
O3 O 0.1500 0.8500 0.9036
O4 O 0.3500 0.6500 0.4036
O5 O 0.3502 0.9995 0.5954
O6 O 0.4995 0.8502 0.0954
O7 O 0.5005 0.1498 0.9046
O8 O 0.6498 0.0005 0.4046
O9 O 0.6500 0.3500 0.5964
O10 O 0.8500 0.1500 0.0964
O11 O 0.8502 0.4995 0.9046
O12 O 0.9995 0.3502 0.4046
```

---

# 2
This entry pairs a crystal structure of Co3SbO8 with its computed powder X-ray diffraction pattern. Radiation: Cu Kα, 1.54184 Å. Structure: the PBE+U geometry in Alexandria.

Most intense lines, 10° ≤ 2θ ≤ 90°, low angle first:
- 2θ = 19.5°, intensity 25
- 2θ = 20.4°, intensity 54
- 2θ = 20.5°, intensity 100
- 2θ = 26.7°, intensity 33
- 2θ = 34.5°, intensity 18
- 2θ = 34.7°, intensity 38
- 2θ = 37.2°, intensity 37
- 2θ = 37.4°, intensity 25
- 2θ = 37.7°, intensity 18
- 2θ = 37.8°, intensity 20
- 2θ = 47.6°, intensity 27
- 2θ = 65.8°, intensity 23

Atomic structure:
```
data_Co3SbO8
_chemical_formula_sum 'Co6 Sb2 O16'
_cell_length_a 5.6799
_cell_length_b 5.6799
_cell_length_c 9.1194
_cell_angle_alpha 90.27
_cell_angle_beta 90.27
_cell_angle_gamma 119.56
_space_group_name_H-M_alt 'P 1'
_space_group_IT_number 1
_space_group_name_Hall 'P 1'
loop_
_atom_site_label
_atom_site_type_symbol
_atom_site_fract_x
_atom_site_fract_y
_atom_site_fract_z
Co1 Co 0.0847 0.9153 0.5000
Co2 Co 0.4089 0.5811 0.0040
Co3 Co 0.5811 0.4089 0.5040
Co4 Co 0.5813 0.9165 0.5052
Co5 Co 0.9153 0.0847 0.0000
Co6 Co 0.9165 0.5813 0.0052
Sb1 Sb 0.0892 0.4188 0.2815
Sb2 Sb 0.4188 0.0892 0.7815
O1 O 0.0685 0.9123 0.8912
O2 O 0.0765 0.4181 0.9006
O3 O 0.2289 0.7190 0.1252
O4 O 0.2301 0.2624 0.1204
O5 O 0.2624 0.2301 0.6204
O6 O 0.2647 0.7796 0.6228
O7 O 0.4181 0.0765 0.4006
O8 O 0.4396 0.5932 0.3860
O9 O 0.5902 0.9119 0.8935
O10 O 0.5932 0.4396 0.8860
O11 O 0.7190 0.2289 0.6252
O12 O 0.7482 0.7518 0.6004
O13 O 0.7518 0.7482 0.1004
O14 O 0.7796 0.2647 0.1228
O15 O 0.9123 0.0685 0.3912
O16 O 0.9119 0.5902 0.3935
```

---

# 3
This entry pairs a crystal structure of Co5SbO8 with its computed powder X-ray diffraction pattern. Radiation: Cu Kα, 1.54184 Å. Structure: the PBE+U geometry in Alexandria.

Most intense lines, 10° ≤ 2θ ≤ 90°, low angle first:
- 2θ = 18.0°, intensity 47
- 2θ = 29.7°, intensity 34
- 2θ = 34.1°, intensity 43
- 2θ = 34.7°, intensity 100
- 2θ = 35.0°, intensity 14
- 2θ = 36.5°, intensity 15
- 2θ = 42.0°, intensity 36
- 2θ = 55.6°, intensity 24
- 2θ = 56.0°, intensity 24
- 2θ = 60.2°, intensity 33
- 2θ = 61.8°, intensity 32
- 2θ = 88.2°, intensity 13

Atomic structure:
```
data_Co5SbO8
_chemical_formula_sum 'Co5 Sb1 O8'
_cell_length_a 6.1547
_cell_length_b 6.1547
_cell_length_c 6.1547
_cell_angle_alpha 58.43
_cell_angle_beta 58.43
_cell_angle_gamma 58.43
_space_group_name_H-M_alt 'P 1'
_space_group_IT_number 1
_space_group_name_Hall 'P 1'
loop_
_atom_site_label
_atom_site_type_symbol
_atom_site_fract_x
_atom_site_fract_y
_atom_site_fract_z
Co1 Co 0.0000 0.5000 0.5000
Co2 Co 0.1349 0.1349 0.1349
Co3 Co 0.5000 0.0000 0.5000
Co4 Co 0.5000 0.5000 0.0000
Co5 Co 0.8651 0.8651 0.8651
Sb1 Sb 0.5000 0.5000 0.5000
O1 O 0.2655 0.2655 0.7270
O2 O 0.2655 0.7270 0.2655
O3 O 0.2658 0.2658 0.2658
O4 O 0.2730 0.7345 0.7345
O5 O 0.7270 0.2655 0.2655
O6 O 0.7342 0.7342 0.7342
O7 O 0.7345 0.2730 0.7345
O8 O 0.7345 0.7345 0.2730
```

---

# 4
This entry pairs a crystal structure of CoSb2O6 with its computed powder X-ray diffraction pattern. Radiation: Cu Kα, 1.54184 Å. Structure: the PBE+U geometry in Alexandria.

Most intense lines, 10° ≤ 2θ ≤ 90°, low angle first:
- 2θ = 20.1°, intensity 10
- 2θ = 28.2°, intensity 100
- 2θ = 30.6°, intensity 10
- 2θ = 35.1°, intensity 39
- 2θ = 45.7°, intensity 25
- 2θ = 54.2°, intensity 41
- 2θ = 58.9°, intensity 21
- 2θ = 63.0°, intensity 14
- 2θ = 65.6°, intensity 9
- 2θ = 81.2°, intensity 7
- 2θ = 87.2°, intensity 7
- 2θ = 87.8°, intensity 8

Atomic structure:
```
data_CoSb2O6
_chemical_formula_sum 'Co3 Sb6 O18'
_cell_length_a 8.8554
_cell_length_b 8.8554
_cell_length_c 4.5096
_cell_angle_alpha 90.00
_cell_angle_beta 90.00
_cell_angle_gamma 120.00
_space_group_name_H-M_alt 'P 1'
_space_group_IT_number 1
_space_group_name_Hall 'P 1'
loop_
_atom_site_label
_atom_site_type_symbol
_atom_site_fract_x
_atom_site_fract_y
_atom_site_fract_z
Co1 Co 0.0000 0.0000 0.0000
Co2 Co 0.3333 0.6667 0.4959
Co3 Co 0.6667 0.3333 0.5041
Sb1 Sb 0.0000 0.3504 0.0000
Sb2 Sb 0.0000 0.6844 0.5000
Sb3 Sb 0.3156 0.3156 0.5000
Sb4 Sb 0.3504 0.0000 0.0000
Sb5 Sb 0.6496 0.6496 0.0000
Sb6 Sb 0.6844 0.0000 0.5000
O1 O 0.1049 0.2272 0.2371
O2 O 0.1061 0.5658 0.2542
O3 O 0.1223 0.8951 0.2371
O4 O 0.2167 0.4392 0.7387
O5 O 0.2225 0.7833 0.7387
O6 O 0.2272 0.1049 0.7629
O7 O 0.4342 0.5404 0.2542
O8 O 0.4392 0.2167 0.2613
O9 O 0.4596 0.8939 0.2542
O10 O 0.5404 0.4342 0.7458
O11 O 0.5608 0.7775 0.7387
O12 O 0.5658 0.1061 0.7458
O13 O 0.7728 0.8777 0.2371
O14 O 0.7775 0.5608 0.2613
O15 O 0.7833 0.2225 0.2613
O16 O 0.8777 0.7728 0.7629
O17 O 0.8939 0.4596 0.7458
O18 O 0.8951 0.1223 0.7629
```

---

# 5
This entry pairs a crystal structure of Co5SbO8 with its computed powder X-ray diffraction pattern. Radiation: Cu Kα, 1.54184 Å. Structure: the PBE+U geometry in Alexandria.

Most intense lines, 10° ≤ 2θ ≤ 90°, low angle first:
- 2θ = 18.0°, intensity 69
- 2θ = 29.8°, intensity 34
- 2θ = 34.0°, intensity 43
- 2θ = 34.3°, intensity 21
- 2θ = 34.6°, intensity 100
- 2θ = 34.9°, intensity 62
- 2θ = 36.5°, intensity 23
- 2θ = 41.9°, intensity 36
- 2θ = 42.3°, intensity 17
- 2θ = 56.0°, intensity 27
- 2θ = 60.3°, intensity 33
- 2θ = 61.8°, intensity 31

Atomic structure:
```
data_Co5SbO8
_chemical_formula_sum 'Co10 Sb2 O16'
_cell_length_a 6.1391
_cell_length_b 6.1391
_cell_length_c 10.3755
_cell_angle_alpha 105.95
_cell_angle_beta 105.95
_cell_angle_gamma 58.85
_space_group_name_H-M_alt 'P 1'
_space_group_IT_number 1
_space_group_name_Hall 'P 1'
loop_
_atom_site_label
_atom_site_type_symbol
_atom_site_fract_x
_atom_site_fract_y
_atom_site_fract_z
Co1 Co 0.0000 0.0000 0.0000
Co2 Co 0.0000 0.0000 0.5000
Co3 Co 0.0521 0.5438 0.1790
Co4 Co 0.2470 0.7530 0.7500
Co5 Co 0.4562 0.9479 0.3210
Co6 Co 0.5000 0.5000 0.0000
Co7 Co 0.5000 0.5000 0.5000
Co8 Co 0.5438 0.0521 0.6790
Co9 Co 0.7530 0.2470 0.2500
Co10 Co 0.9479 0.4562 0.8210
Sb1 Sb 0.0000 0.5000 0.5000
Sb2 Sb 0.5000 0.0000 0.0000
O1 O 0.1125 0.1393 0.3897
O2 O 0.1252 0.6106 0.3826
O3 O 0.1286 0.6689 0.8882
O4 O 0.1393 0.1125 0.8897
O5 O 0.3311 0.8714 0.6118
O6 O 0.3462 0.3972 0.6188
O7 O 0.3894 0.8748 0.1174
O8 O 0.3972 0.3462 0.1188
O9 O 0.6028 0.6538 0.8812
O10 O 0.6106 0.1252 0.8826
O11 O 0.6538 0.6028 0.3812
O12 O 0.6689 0.1286 0.3882
O13 O 0.8607 0.8875 0.1103
O14 O 0.8714 0.3311 0.1118
O15 O 0.8748 0.3894 0.6174
O16 O 0.8875 0.8607 0.6103
```

---

# 6
This entry pairs a crystal structure of Sc2CoSbO6 with its computed powder X-ray diffraction pattern. Radiation: Cu Kα, 1.54184 Å. Structure: the PBE+U geometry in Alexandria.

Most intense lines, 10° ≤ 2θ ≤ 90°, low angle first:
- 2θ = 20.2°, intensity 20
- 2θ = 22.8°, intensity 58
- 2θ = 30.9°, intensity 100
- 2θ = 33.8°, intensity 82
- 2θ = 36.0°, intensity 27
- 2θ = 38.5°, intensity 23
- 2θ = 46.5°, intensity 36
- 2θ = 50.4°, intensity 36
- 2θ = 53.1°, intensity 13
- 2θ = 58.7°, intensity 34
- 2θ = 60.4°, intensity 32
- 2θ = 66.7°, intensity 18

Atomic structure:
```
data_Sc2CoSbO6
_chemical_formula_sum 'Sc2 Co1 Sb1 O6'
_cell_length_a 5.8249
_cell_length_b 5.8249
_cell_length_c 5.8249
_cell_angle_alpha 54.20
_cell_angle_beta 54.20
_cell_angle_gamma 54.20
_space_group_name_H-M_alt 'P 1'
_space_group_IT_number 1
_space_group_name_Hall 'P 1'
loop_
_atom_site_label
_atom_site_type_symbol
_atom_site_fract_x
_atom_site_fract_y
_atom_site_fract_z
Sc1 Sc 0.0000 0.0000 0.0000
Sc2 Sc 0.4723 0.4723 0.4723
Co1 Co 0.7958 0.7958 0.7958
Sb1 Sb 0.2624 0.2624 0.2624
O1 O 0.0528 0.7232 0.4085
O2 O 0.1743 0.6038 0.8616
O3 O 0.4085 0.0528 0.7232
O4 O 0.6038 0.8616 0.1743
O5 O 0.7232 0.4085 0.0528
O6 O 0.8616 0.1743 0.6038
```